1.
The following is a computed PXRD pattern of NdTmS2O. It was derived from a cell relaxed with PBE, using Cu Kα (weighted mean of Kα1 and Kα2).

Most intense lines, 2θ = 10–80°, by angle:
Position (°2θ), intensity
25.68, 26
26.11, 100
32.30, 64
34.52, 15
41.71, 37
45.54, 18
46.32, 27
53.95, 29

Cell and atoms:
Cell: 3.9200 3.9200 13.8773 Å, 90.00 90.00 90.00°
Sites, in units of the cell vectors:
Nd  0.2500  0.2500  0.0899
Nd  0.7500  0.7500  0.9101
Tm  0.2500  0.2500  0.6195
Tm  0.7500  0.7500  0.3805
S  0.2500  0.2500  0.4106
S  0.2500  0.2500  0.7971
S  0.7500  0.7500  0.2029
S  0.7500  0.7500  0.5894
O  0.2500  0.7500  0.0000
O  0.7500  0.2500  0.0000

=====

2.
The following is a computed PXRD pattern of Li2P3Pb. It was derived from a cell relaxed with PBE, using Cu Kα (weighted mean of Kα1 and Kα2).

Most intense lines, 2θ = 10–80°, by angle:
Position (°2θ), intensity
17.27, 50
18.67, 91
20.64, 81
26.48, 100
32.13, 68
34.31, 77
36.82, 39
43.82, 43

Cell and atoms:
Cell: 5.8218 5.8218 8.0772 Å, 95.80 95.80 123.75°
Sites, in units of the cell vectors:
Li  0.1086  0.8914  0.7500
Li  0.2691  0.7309  0.2500
Li  0.7309  0.2691  0.7500
Li  0.8914  0.1086  0.2500
P  0.0000  0.5000  0.5000
P  0.0239  0.1977  0.9849
P  0.1977  0.0239  0.4849
P  0.5000  0.0000  0.0000
P  0.8023  0.9761  0.5151
P  0.9761  0.8023  0.0151
Pb  0.4356  0.5644  0.7500
Pb  0.5644  0.4356  0.2500

=====

3.
The following is a computed PXRD pattern of LaDy2HoSb4. It was derived from a cell relaxed with PBE, using Cu Kα (weighted mean of Kα1 and Kα2).

Most intense lines, 2θ = 10–80°, by angle:
Position (°2θ), intensity
24.53, 3
28.40, 100
40.59, 76
48.00, 2
50.28, 27
58.76, 13
66.52, 35
73.86, 26

Cell and atoms:
Cell: 7.6951 7.6951 7.6951 Å, 131.76 131.76 70.60°
Sites, in units of the cell vectors:
La  0.0000  0.0000  0.0000
Dy  0.2500  0.7500  0.5000
Dy  0.7500  0.2500  0.5000
Ho  0.5000  0.5000  0.0000
Sb  0.0000  0.5000  0.5000
Sb  0.2553  0.2553  0.0000
Sb  0.5000  0.0000  0.5000
Sb  0.7447  0.7447  0.0000

=====

4.
The following is a computed PXRD pattern of Ti3Ga6Rh. It was derived from a cell relaxed with PBE, using Cu Kα (weighted mean of Kα1 and Kα2).

Most intense lines, 2θ = 10–80°, by angle:
Position (°2θ), intensity
25.96, 34
34.54, 17
37.54, 79
38.89, 46
40.29, 100
50.05, 46
53.74, 40
71.41, 25

Cell and atoms:
Cell: 6.9272 6.9272 6.9272 Å, 95.16 95.16 95.16°
Sites, in units of the cell vectors:
Ti  0.1758  0.7500  0.3242
Ti  0.2500  0.6758  0.8242
Ti  0.3242  0.1758  0.7500
Ti  0.6758  0.8242  0.2500
Ti  0.7500  0.3242  0.1758
Ti  0.8242  0.2500  0.6758
Ga  0.0046  0.9108  0.6474
Ga  0.0892  0.3526  0.9954
Ga  0.1474  0.4108  0.5046
Ga  0.3526  0.9954  0.0892
Ga  0.4108  0.5046  0.1474
Ga  0.4954  0.8526  0.5892
Ga  0.5046  0.1474  0.4108
Ga  0.5892  0.4954  0.8526
Ga  0.6474  0.0046  0.9108
Ga  0.8526  0.5892  0.4954
Ga  0.9108  0.6474  0.0046
Ga  0.9954  0.0892  0.3526
Rh  0.0000  0.0000  0.0000
Rh  0.5000  0.5000  0.5000

=====

5.
The following is a computed PXRD pattern of Na2ErTl9. It was derived from a cell relaxed with PBE, using Cu Kα (weighted mean of Kα1 and Kα2).

Most intense lines, 2θ = 10–80°, by angle:
Position (°2θ), intensity
32.08, 100
36.79, 17
37.42, 33
53.49, 24
53.95, 12
63.32, 14
64.17, 28
67.09, 12

Cell and atoms:
Cell: 4.8069 4.8069 14.6568 Å, 90.00 90.00 90.00°
Sites, in units of the cell vectors:
Na  0.0000  0.0000  0.1743
Na  0.0000  0.0000  0.8257
Er  0.0000  0.0000  0.5000
Tl  0.0000  0.5000  0.0000
Tl  0.0000  0.5000  0.3376
Tl  0.0000  0.5000  0.6624
Tl  0.5000  0.0000  0.0000
Tl  0.5000  0.0000  0.3376
Tl  0.5000  0.0000  0.6624
Tl  0.5000  0.5000  0.1709
Tl  0.5000  0.5000  0.5000
Tl  0.5000  0.5000  0.8291

=====

6.
The following is a computed PXRD pattern of YSi3. It was derived from a cell relaxed with PBE, using Cu Kα (weighted mean of Kα1 and Kα2).

Most intense lines, 2θ = 10–80°, by angle:
Position (°2θ), intensity
20.36, 49
23.43, 42
31.23, 35
32.68, 100
35.19, 64
39.83, 90
41.40, 50
47.40, 34

Cell and atoms:
Cell: 5.8493 5.8493 5.8493 Å, 122.39 99.03 107.90°
Sites, in units of the cell vectors:
Y  0.3335  0.0835  0.2500
Y  0.6665  0.9165  0.7500
Si  0.1912  0.0000  0.6912
Si  0.1912  0.5000  0.1912
Si  0.2150  0.4650  0.7500
Si  0.7850  0.5350  0.2500
Si  0.8088  0.0000  0.3088
Si  0.8088  0.5000  0.8088

=====

7.
The following is a computed PXRD pattern of HfNb2Te4. It was derived from a cell relaxed with PBE, using Cu Kα (weighted mean of Kα1 and Kα2).

Most intense lines, 2θ = 10–80°, by angle:
Position (°2θ), intensity
28.48, 81
30.01, 88
30.36, 76
35.51, 53
37.65, 85
38.21, 100
46.21, 70
48.90, 59

Cell and atoms:
Cell: 7.8278 7.8278 6.9402 Å, 114.64 114.64 27.53°
Sites, in units of the cell vectors:
Hf  0.0000  0.0000  0.0000
Nb  0.2531  0.2531  0.3334
Nb  0.7469  0.7469  0.6666
Te  0.1022  0.1022  0.4560
Te  0.3590  0.3590  0.0298
Te  0.6410  0.6410  0.9702
Te  0.8978  0.8978  0.5440

=====

8.
The following is a computed PXRD pattern of Ti3TlF9. It was derived from a cell relaxed with PBE, using Cu Kα (weighted mean of Kα1 and Kα2).

Most intense lines, 2θ = 10–80°, by angle:
Position (°2θ), intensity
13.14, 46
26.10, 96
26.45, 100
32.26, 55
35.24, 30
46.48, 27
46.69, 30
54.27, 29

Cell and atoms:
Cell: 7.7814 7.7814 3.9598 Å, 90.00 90.00 120.00°
Sites, in units of the cell vectors:
Ti  0.0000  0.5000  0.0000
Ti  0.5000  0.0000  0.0000
Ti  0.5000  0.5000  0.0000
Tl  0.0000  0.0000  0.5000
F  0.0000  0.5000  0.5000
F  0.2108  0.4217  0.0000
F  0.2108  0.7892  0.0000
F  0.4217  0.2108  0.0000
F  0.5000  0.0000  0.5000
F  0.5000  0.5000  0.5000
F  0.5783  0.7892  0.0000
F  0.7892  0.2108  0.0000
F  0.7892  0.5783  0.0000